Record 1
Starting from a crystal structure in the Materials Project, relaxed with GGA+U, the X-ray powder pattern of Ni2P5O16 was computed for λ = 1.5418 Å (Cu Kα).

Crystal structure
```
46
Lattice="5.0253 0.0000 0.0000 0.0000 6.7577 0.0000 -0.2040 0.0000 18.8512" Properties=species:S:1:pos:R:3 pbc="T T T"
Ni 1.1376 1.2183 7.6639
Ni 1.0357 5.5394 17.0895
Ni 3.7856 1.2183 1.7617
Ni 3.6837 5.5394 11.1873
P -0.0510 1.7157 4.7128
P -0.1530 5.0420 14.1384
P 1.0930 0.9058 10.8532
P 1.1950 5.8519 1.4276
P 1.3063 3.0672 2.4701
P 1.2044 3.6905 11.8957
P 3.6169 3.0672 6.9555
P 3.5149 3.6905 16.3811
P 3.6263 0.9058 17.4236
P 3.7283 5.8519 7.9980
O 0.0465 0.3996 17.5370
O 0.1484 6.3581 8.1114
O 0.3537 2.3745 1.5279
O 0.2518 4.3832 10.9535
O 0.7024 0.9223 5.7402
O 0.6004 5.8354 15.1658
O 0.9664 2.7415 4.0041
O 0.8644 4.0161 13.4297
O 0.9699 2.1161 11.9255
O 1.0719 4.6416 2.5000
O 1.6196 1.5017 9.5514
O 1.7215 5.2559 0.1258
O 2.1411 0.0991 2.0701
O 2.0391 6.6586 11.4957
O 2.1401 2.8357 7.1717
O 2.0381 3.9219 16.5973
O 2.7832 2.8357 2.2539
O 2.6812 3.9219 11.6795
O 2.7822 0.0991 7.3555
O 2.6802 6.6586 16.7811
O 3.0998 1.5017 18.7254
O 3.2017 5.2559 9.2998
O 3.7494 2.1161 16.3512
O 3.8514 4.6416 6.9256
O 3.9569 2.7415 5.4215
O 3.8549 4.0161 14.8471
O 4.2209 0.9223 3.6854
O 4.1189 5.8354 13.1109
O 4.5695 2.3745 7.8977
O 4.4676 4.3832 17.3233
O 4.6729 0.3996 10.7398
O 4.7748 6.3581 1.3142
```

Top 12 peaks for 10° ≤ 2θ ≤ 90°, in order of rising 2θ:
2θ = 13.9°, d 6.361, I = 87; 2θ = 16.1°, d 5.492, I = 25; 2θ = 18.8°, d 4.713, I = 54; 2θ = 22.5°, d 3.947, I = 100; 2θ = 23.9°, d 3.719, I = 14; 2θ = 24.1°, d 3.696, I = 16; 2θ = 28.4°, d 3.142, I = 24; 2θ = 32.3°, d 2.774, I = 35; 2θ = 32.6°, d 2.743, I = 21; 2θ = 33.3°, d 2.692, I = 14; 2θ = 35.7°, d 2.513, I = 12; 2θ = 40.0°, d 2.255, I = 11


Record 2
Starting from a crystal structure in the Materials Project, relaxed with GGA+U, the X-ray powder pattern of VF5 was computed for λ = 1.5418 Å (Cu Kα).

Crystal structure
```
48
Lattice="7.7485 0.0000 0.0000 0.0000 5.5259 0.0000 0.0000 0.0000 17.4041" Properties=species:S:1:pos:R:3 pbc="T T T"
V 0.3605 1.3815 2.4506
V 0.8445 1.3815 10.7716
V 3.0298 4.1444 2.0696
V 3.5137 4.1444 11.1527
V 4.2348 1.3815 6.2514
V 4.7187 1.3815 15.3345
V 6.9041 4.1444 6.6325
V 7.3880 4.1444 14.9535
F 0.1863 2.8592 7.2030
F 0.1863 5.4296 7.2030
F 0.2456 1.3815 12.4305
F 0.2779 1.3815 4.2132
F 0.7876 2.8593 15.2028
F 0.7876 5.4295 15.2028
F 1.0102 1.3815 0.8071
F 1.7737 5.5240 2.7815
F 1.7737 2.7648 2.7815
F 1.9269 1.3815 9.3725
F 1.9474 4.1444 0.6704
F 2.1005 0.0019 11.4836
F 2.1005 2.7611 11.4836
F 2.8641 4.1444 9.5092
F 3.0867 0.0964 6.5007
F 3.0867 2.6666 6.5007
F 3.5964 4.1444 12.9152
F 3.6287 4.1444 3.7284
F 3.6880 0.0963 15.9050
F 3.6880 2.6667 15.9050
F 4.0606 2.8592 1.4991
F 4.0606 5.4296 1.4991
F 4.1198 1.3815 13.6757
F 4.1521 1.3815 4.4889
F 4.6619 2.8593 10.9034
F 4.6619 5.4295 10.9034
F 4.8845 1.3815 7.8949
F 5.6480 5.5240 5.9206
F 5.6480 2.7648 5.9206
F 5.8012 1.3815 16.7337
F 5.8217 4.1444 8.0316
F 5.9748 0.0019 14.6226
F 5.9748 2.7611 14.6226
F 6.7384 4.1444 16.5970
F 6.9610 0.0964 2.2013
F 6.9610 2.6666 2.2013
F 7.4707 4.1444 13.1909
F 7.5030 4.1444 4.9736
F 7.5623 0.0963 10.2011
F 7.5623 2.6667 10.2011
```

Top 12 peaks for 10° ≤ 2θ ≤ 90°, in order of rising 2θ:
2θ = 15.3°, d 5.787, I = 51; 2θ = 20.4°, d 4.351, I = 48; 2θ = 22.2°, d 3.997, I = 100; 2θ = 23.0°, d 3.874, I = 11; 2θ = 28.1°, d 3.172, I = 26; 2θ = 36.0°, d 2.493, I = 7; 2θ = 38.0°, d 2.367, I = 8; 2θ = 38.8°, d 2.322, I = 5; 2θ = 41.5°, d 2.177, I = 15; 2θ = 49.4°, d 1.844, I = 22; 2θ = 50.9°, d 1.794, I = 7; 2θ = 58.4°, d 1.581, I = 7


Record 3
Starting from a crystal structure in the Materials Project, relaxed with GGA+U, the X-ray powder pattern of Mn2PO5 was computed for λ = 1.5418 Å (Cu Kα).

Crystal structure
```
16
Lattice="5.1014 0.0000 0.0000 -1.6632 6.2839 0.0000 -1.3846 -2.8308 6.1855" Properties=species:S:1:pos:R:3 pbc="T T T"
Mn 0.2696 -0.4044 1.4984
Mn -0.7354 2.1455 5.4218
Mn 2.7891 1.3076 0.7637
Mn 1.7840 3.8575 4.6871
P 0.2492 2.9654 1.9472
P 1.8045 0.4878 4.2383
O -0.5702 1.6339 1.7380
O -0.3970 4.0816 1.0892
O -0.0127 -2.4592 5.9550
O 0.3358 0.6633 4.6922
O 0.2000 3.3224 3.4502
O 1.8536 0.1308 2.7353
O 1.7179 2.7898 1.4933
O 2.0663 5.9123 0.2305
O 2.4507 -0.6285 5.0963
O 2.6238 1.8192 4.4475
```

Top 12 peaks for 10° ≤ 2θ ≤ 90°, in order of rising 2θ:
2θ = 14.3°, d 6.186, I = 58; 2θ = 16.2°, d 5.487, I = 96; 2θ = 19.8°, d 4.474, I = 43; 2θ = 28.6°, d 3.121, I = 100; 2θ = 28.9°, d 3.093, I = 66; 2θ = 29.1°, d 3.064, I = 80; 2θ = 30.4°, d 2.943, I = 83; 2θ = 30.5°, d 2.931, I = 48; 2θ = 34.9°, d 2.572, I = 46; 2θ = 40.5°, d 2.227, I = 62; 2θ = 44.6°, d 2.032, I = 39; 2θ = 45.6°, d 1.990, I = 48


Record 4
Starting from a crystal structure in the Materials Project, relaxed with GGA+U, the X-ray powder pattern of LiMnP2H2O8 was computed for λ = 1.5418 Å (Cu Kα).

Crystal structure
```
56
Lattice="5.1387 -7.9625 0.0000 5.1387 7.9625 0.0000 -4.9282 0.0000 7.3434" Properties=species:S:1:pos:R:3 pbc="T T T"
Li 2.6746 5.2418 3.6717
Li -0.1218 3.0809 7.0607
Li 2.3423 -3.0809 3.3890
Li 5.1387 -5.2418 0.0000
Mn 4.8487 5.7438 1.1832
Mn 2.4767 1.7664 5.0595
Mn 4.9409 -1.7664 1.3878
Mn 2.3846 -5.7438 4.8549
P 0.1117 3.6721 3.4128
P -0.2744 0.3668 6.1584
P 2.1897 -0.3668 2.4867
P -2.3524 -3.6721 7.0845
P 4.8880 3.0430 2.9780
P 2.4239 -3.0430 6.6497
P 7.6060 0.0986 2.2959
P 5.1419 -0.0986 5.9677
H 0.8745 1.8599 2.5069
H 1.4749 0.1082 0.5132
H -0.9892 -0.1082 4.1849
H -1.5896 -1.8599 6.1787
H 5.3304 1.2512 1.7935
H 7.5794 1.0739 0.3746
H 2.8663 -1.2512 5.4653
H 5.1153 -1.0739 4.0463
O 0.3296 2.6279 2.1899
O 3.2295 6.7404 2.2977
O -1.2754 4.7865 7.2046
O 0.3633 7.1889 7.3327
O -1.2649 1.5576 6.0739
O 1.1454 3.3430 4.4929
O 2.0917 0.5200 1.1837
O 4.3430 4.4337 2.5678
O -0.3725 -0.5200 4.8554
O -2.1346 -2.6279 5.8616
O 6.2676 4.3359 0.2120
O 1.1992 -1.5576 2.4021
O 1.8234 0.6370 3.6035
O 4.9016 2.1782 1.6471
O -0.6407 -0.6370 7.2752
O 1.1344 0.9703 6.3657
O 3.9539 2.4206 3.9908
O 3.1673 2.8897 6.5059
O 3.5985 -0.9703 2.6940
O 3.6096 -3.3430 0.8212
O 1.1887 -4.7865 3.5329
O 2.4375 -2.1782 5.3188
O 3.6291 0.0568 5.7713
O 6.0932 -0.0568 2.0996
O 6.4180 -2.4206 0.3191
O 8.1452 1.0864 1.1809
O 1.8789 -4.4337 6.2395
O 0.7654 -6.7404 5.9695
O 3.8034 -4.3359 3.8837
O 5.6315 -2.8897 2.8342
O 5.6811 -1.0864 4.8527
O 2.8274 -7.1889 3.6609
```

Top 12 peaks for 10° ≤ 2θ ≤ 90°, in order of rising 2θ:
2θ = 16.4°, d 5.398, I = 100; 2θ = 20.6°, d 4.314, I = 20; 2θ = 21.4°, d 4.154, I = 18; 2θ = 23.7°, d 3.761, I = 52; 2θ = 24.2°, d 3.682, I = 78; 2θ = 25.4°, d 3.500, I = 17; 2θ = 26.7°, d 3.334, I = 25; 2θ = 30.7°, d 2.911, I = 39; 2θ = 31.1°, d 2.874, I = 31; 2θ = 31.6°, d 2.831, I = 27; 2θ = 32.4°, d 2.764, I = 18; 2θ = 33.2°, d 2.699, I = 27


Record 5
Starting from a crystal structure in the Materials Project, relaxed with GGA+U, the X-ray powder pattern of CrSiH8O4F6 was computed for λ = 1.5418 Å (Cu Kα).

Crystal structure
```
40
Lattice="5.5556 0.0000 0.0000 0.0000 9.8743 0.0000 -1.9214 0.0000 7.1496" Properties=species:S:1:pos:R:3 pbc="T T T"
Cr 0.0000 0.0000 0.0000
Cr -0.9607 4.9371 3.5748
Si 1.8171 0.0000 3.5748
Si 2.7778 4.9371 0.0000
H -0.2562 1.4431 5.5949
H 0.7045 3.4940 2.0201
H -0.5881 2.3374 6.8590
H 0.3726 2.5998 3.2842
H 0.4818 7.1875 3.2036
H -0.4789 7.6239 6.7784
H 0.8675 6.1981 2.0197
H -0.0932 8.6133 5.5945
H 3.7274 1.2610 1.5551
H 2.7667 3.6761 5.1299
H 4.1131 2.2503 0.3711
H 3.1524 2.6868 3.9459
H 3.2617 7.2745 3.8654
H 4.2224 7.5369 0.2906
H 2.9297 6.3803 5.1295
H 3.8904 8.4311 1.5547
O -0.9479 1.6251 6.2731
O 0.0128 3.3120 2.6984
O 0.5431 6.2362 2.9523
O -0.4176 8.5752 6.5271
O 4.0519 1.2991 0.6225
O 3.0912 3.6381 4.1973
O 3.6215 6.5623 4.4512
O 4.5822 8.2491 0.8764
F 1.4635 6.0192 0.3258
F 0.5028 8.7922 3.9005
F 1.1397 0.4005 2.0792
F 0.1790 4.5366 5.6540
F 0.9311 1.3078 4.3117
F 1.8917 3.6293 0.7370
F 1.7425 6.2450 6.4126
F 2.7032 8.5665 2.8378
F 3.4552 5.3377 1.4955
F 2.4945 9.4737 5.0703
F 3.1314 1.0821 3.2490
F 2.1707 3.8551 6.8238
```

Top 12 peaks for 10° ≤ 2θ ≤ 90°, in order of rising 2θ:
2θ = 18.0°, d 4.937, I = 45; 2θ = 20.1°, d 4.427, I = 87; 2θ = 24.9°, d 3.578, I = 100; 2θ = 32.7°, d 2.741, I = 35; 2θ = 34.8°, d 2.579, I = 8; 2θ = 37.3°, d 2.408, I = 9; 2θ = 40.8°, d 2.213, I = 20; 2θ = 46.5°, d 1.953, I = 34; 2θ = 50.2°, d 1.816, I = 12; 2θ = 52.3°, d 1.748, I = 19; 2θ = 54.6°, d 1.681, I = 8; 2θ = 56.5°, d 1.628, I = 7


Record 6
Starting from a crystal structure in the Materials Project, relaxed with GGA+U, the X-ray powder pattern of Li7Co5O12 was computed for λ = 1.5418 Å (Cu Kα).

Crystal structure
```
24
Lattice="4.9542 -1.4992 0.0000 4.9542 1.4992 0.0000 -3.2229 0.0000 14.4907" Properties=species:S:1:pos:R:3 pbc="T T T"
Li 0.0000 0.0000 0.0000
Li 1.6534 0.0000 3.6094
Li 0.5936 0.0000 8.4523
Li -0.4639 0.0000 13.3006
Li 7.1494 0.0000 1.1900
Li 6.0919 0.0000 6.0383
Li 5.0322 0.0000 10.8813
Co 8.8389 0.0000 4.8052
Co -2.1533 0.0000 9.6855
Co 2.2377 0.0000 12.1775
Co 3.3428 0.0000 7.2453
Co 4.4478 0.0000 2.3132
O -1.4223 0.0000 11.4272
O 0.7163 0.0000 1.8563
O -0.3164 0.0000 6.5824
O 3.6231 0.0000 0.7772
O 2.5790 0.0000 5.4840
O 1.5502 0.0000 10.3757
O 5.1353 0.0000 4.1150
O 4.1065 0.0000 9.0067
O 3.0625 0.0000 13.7135
O 7.0020 0.0000 7.9083
O 5.9693 0.0000 12.6344
O 8.1078 0.0000 3.0635
```

Top 12 peaks for 10° ≤ 2θ ≤ 90°, in order of rising 2θ:
2θ = 12.2°, d 7.245, I = 7; 2θ = 18.3°, d 4.836, I = 100; 2θ = 35.4°, d 2.536, I = 30; 2θ = 37.2°, d 2.416, I = 14; 2θ = 37.5°, d 2.397, I = 7; 2θ = 42.6°, d 2.120, I = 61; 2θ = 45.5°, d 1.995, I = 23; 2θ = 48.0°, d 1.896, I = 8; 2θ = 56.3°, d 1.633, I = 10; 2θ = 61.9°, d 1.499, I = 16; 2θ = 63.6°, d 1.462, I = 14; 2θ = 64.6°, d 1.444, I = 13


Record 7
Starting from a crystal structure in the Materials Project, relaxed with GGA+U, the X-ray powder pattern of Ba8Fe8O21 was computed for λ = 1.5418 Å (Cu Kα).

Crystal structure
```
37
Lattice="5.7442 0.0000 0.0000 -2.8386 5.0385 0.0000 -0.2212 -3.0232 18.7975" Properties=species:S:1:pos:R:3 pbc="T T T"
Ba 0.0000 0.0000 0.0000
Ba -1.5299 1.0077 9.3988
Ba 0.9299 -1.2698 11.7858
Ba -0.3716 2.7954 2.4100
Ba 2.1008 0.5009 4.7679
Ba 0.5837 1.5144 14.0297
Ba 3.0561 -0.7801 16.3875
Ba 1.7546 3.2851 7.0117
Fe 0.3752 -2.3727 15.1202
Fe -0.8918 1.9618 5.8974
Fe -0.0213 0.7489 17.7376
Fe 1.7461 -0.2176 8.0985
Fe 0.9383 2.2329 10.6991
Fe 2.7058 1.2664 1.0600
Fe 3.5762 0.0535 12.9002
Fe 2.3092 4.3880 3.6774
O -1.4193 2.5193 0.0000
O -0.8306 -1.0486 14.2589
O -0.7353 0.6166 4.7501
O -0.5641 1.1571 11.7846
O 0.2912 0.6447 7.1923
O -1.2585 1.7377 16.4380
O -1.1307 3.3129 7.0787
O 1.0747 0.3526 2.3381
O 1.9572 -1.0391 14.1128
O 2.8721 0.0000 0.0000
O 2.7615 -1.5116 9.3988
O 1.4528 2.5193 0.0000
O 1.3422 1.0077 9.3988
O 0.7272 3.0544 4.6847
O 1.6098 1.6627 16.4594
O 3.8152 -1.2975 11.7188
O 3.9430 0.2777 2.3595
O 2.3933 1.3707 11.6052
O 3.2485 0.8583 7.0129
O 3.4198 1.3987 14.0474
O 3.5151 3.0639 4.5386
```

Top 12 peaks for 10° ≤ 2θ ≤ 90°, in order of rising 2θ:
2θ = 19.4°, d 4.575, I = 25; 2θ = 27.4°, d 3.259, I = 100; 2θ = 30.8°, d 2.901, I = 79; 2θ = 31.2°, d 2.866, I = 74; 2θ = 31.6°, d 2.834, I = 69; 2θ = 32.1°, d 2.786, I = 70; 2θ = 35.2°, d 2.552, I = 53; 2θ = 35.8°, d 2.505, I = 24; 2θ = 39.4°, d 2.288, I = 66; 2θ = 45.0°, d 2.015, I = 46; 2θ = 50.3°, d 1.813, I = 48; 2θ = 56.5°, d 1.629, I = 33